# AcSiBiO6
Theoretical XRD peak list, Cu Kα, 1.54184 Å. Input: a structure optimized by DFT (GGA-PBE).
Neutral-atom scattering factors, no anomalous dispersion.

Peak list (6 most intense, 5° ≤ 2θ ≤ 70°, most intense first)
2θ 25.63, d 3.476, I = 100
2θ 48.40, d 1.880, I = 32
2θ 34.11, d 2.628, I = 30
2θ 43.15, d 2.097, I = 25
2θ 56.12, d 1.639, I = 24
2θ 19.50, d 4.552, I = 17

```
9
Lattice="5.2567 0.0000 0.0000 -2.6284 4.5525 0.0000 0.0000 0.0000 5.3832" Properties=species:S:1:pos:R:3 pbc="T T T"
Ac 0.0000 0.0000 0.0000
Si 2.6284 1.5175 2.6916
Bi 0.0000 3.0350 2.6916
O 1.9789 0.1980 3.7817
O 1.1610 1.6148 1.6015
O 3.2778 0.1980 1.6015
O 1.8104 2.7397 3.7817
O 4.0958 1.6148 3.7817
O 3.4463 2.7397 1.6015
```


# Pu2Ga12Co
Theoretical XRD peak list, Cu Kα, 1.54184 Å. Input: a structure optimized by DFT (GGA-PBE).
Neutral-atom scattering factors, no anomalous dispersion.

Peak list (6 most intense, 5° ≤ 2θ ≤ 70°, most intense first)
2θ 32.12, d 2.787, I = 100
2θ 31.21, d 2.866, I = 59
2θ 42.87, d 2.110, I = 50
2θ 37.94, d 2.371, I = 43
2θ 40.73, d 2.215, I = 37
2θ 53.97, d 1.699, I = 29

```
30
Lattice="5.9672 0.0000 0.0000 0.0000 5.9672 0.0000 0.0000 0.0000 15.6159" Properties=species:S:1:pos:R:3 pbc="T T T"
Pu 1.4918 4.4754 3.7308
Pu 1.4918 4.4754 11.8851
Pu 4.4754 1.4918 3.7308
Pu 4.4754 1.4918 11.8851
Ga 0.0006 5.9666 1.3058
Ga 5.9666 0.0006 14.3101
Ga 5.9666 2.9830 1.3058
Ga 0.0006 2.9842 14.3101
Ga 0.4715 3.4551 6.6990
Ga 0.4715 5.4957 8.9169
Ga 1.4918 1.4918 2.9078
Ga 1.4918 1.4918 5.3273
Ga 1.4918 1.4918 10.2886
Ga 1.4918 1.4918 12.7081
Ga 2.5121 3.4551 8.9169
Ga 2.5121 5.4957 6.6990
Ga 2.9842 0.0006 1.3058
Ga 2.9830 5.9666 14.3101
Ga 2.9830 2.9842 1.3058
Ga 2.9842 2.9830 14.3101
Ga 3.4551 0.4715 8.9169
Ga 3.4551 2.5121 6.6990
Ga 4.4754 4.4754 2.9078
Ga 4.4754 4.4754 5.3273
Ga 4.4754 4.4754 10.2886
Ga 4.4754 4.4754 12.7081
Ga 5.4957 0.4715 6.6990
Ga 5.4957 2.5121 8.9169
Co 1.4918 4.4754 0.0000
Co 4.4754 1.4918 0.0000
```


# ThCrCu4
Theoretical XRD peak list, Cu Kα, 1.54184 Å. Input: a structure optimized by DFT (GGA-PBE).
Neutral-atom scattering factors, no anomalous dispersion.

Peak list (6 most intense, 5° ≤ 2θ ≤ 70°, most intense first)
2θ 41.23, d 2.189, I = 100
2θ 34.95, d 2.567, I = 48
2θ 66.96, d 1.397, I = 31
2θ 43.16, d 2.096, I = 24
2θ 24.52, d 3.631, I = 23
2θ 21.19, d 4.192, I = 23

```
6
Lattice="0.0000 3.6308 3.6308 3.6308 0.0000 3.6308 3.6308 3.6308 0.0000" Properties=species:S:1:pos:R:3 pbc="T T T"
Th 0.0000 0.0000 0.0000
Cr 5.4461 5.4461 5.4461
Cu 2.7389 2.7389 2.7389
Cu 4.5226 4.5226 2.7389
Cu 4.5226 2.7389 4.5226
Cu 2.7389 4.5226 4.5226
```


# TbEr2Tm12
Theoretical XRD peak list, Cu Kα, 1.54184 Å. Input: a structure optimized by DFT (GGA-PBE).
Neutral-atom scattering factors, no anomalous dispersion.

Peak list (6 most intense, 5° ≤ 2θ ≤ 70°, most intense first)
2θ 32.76, d 2.734, I = 100
2θ 32.16, d 2.784, I = 46
2θ 31.58, d 2.833, I = 31
2θ 34.61, d 2.592, I = 25
2θ 57.72, d 1.597, I = 20
2θ 35.08, d 2.558, I = 18

```
15
Lattice="3.5696 0.0000 0.0000 0.0000 5.5671 0.0000 -1.7747 0.0000 23.0391" Properties=species:S:1:pos:R:3 pbc="T T T"
Tb 0.0000 0.0000 0.0000
Er -0.0016 0.0000 6.5638
Er 1.7966 0.0000 16.4753
Tm -0.0051 2.7835 4.4549
Tm 0.0009 2.7835 10.2019
Tm 0.0103 0.0000 13.2633
Tm 0.0124 2.7835 15.6134
Tm 0.0126 0.0000 19.6349
Tm 0.0170 2.7835 21.4876
Tm 1.7780 2.7835 1.5516
Tm 1.7824 0.0000 3.4042
Tm 1.7826 2.7835 7.4257
Tm 1.7847 0.0000 9.7758
Tm 1.7941 2.7835 12.8372
Tm 1.8000 2.7835 18.5842
```


# Tm3CrS6
Theoretical XRD peak list, Cu Kα, 1.54184 Å. Input: a structure optimized by DFT (GGA-PBE).
Neutral-atom scattering factors, no anomalous dispersion.

Peak list (6 most intense, 5° ≤ 2θ ≤ 70°, most intense first)
2θ 35.89, d 2.502, I = 100
2θ 26.30, d 3.389, I = 75
2θ 48.88, d 1.863, I = 50
2θ 42.41, d 2.132, I = 50
2θ 37.30, d 2.411, I = 47
2θ 27.67, d 3.224, I = 42

```
40
Lattice="13.1722 0.0000 0.0000 0.0000 15.8094 0.0000 0.0000 0.0000 3.7264" Properties=species:S:1:pos:R:3 pbc="T T T"
Tm 0.6525 3.5080 0.0000
Tm 2.3909 10.2329 0.0000
Tm 3.1949 14.2482 1.8632
Tm 3.3912 6.3435 0.0000
Tm 4.1952 2.3282 1.8632
Tm 5.9336 11.4126 1.8632
Tm 7.2386 4.3967 1.8632
Tm 8.9770 13.4812 1.8632
Tm 9.7810 9.4658 0.0000
Tm 9.9773 1.5612 1.8632
Tm 10.7813 5.5765 0.0000
Tm 12.5197 12.3014 0.0000
Cr 0.0000 0.0000 1.8632
Cr 0.0000 7.9047 1.8632
Cr 6.5861 0.0000 0.0000
Cr 6.5861 7.9047 0.0000
S 0.2813 6.3533 0.0000
S 1.0858 14.6003 0.0000
S 1.3704 11.9053 1.8632
S 1.5774 1.7389 1.8632
S 2.3942 8.2198 1.8632
S 2.4904 4.5832 1.8632
S 4.0957 12.4878 0.0000
S 4.1919 0.3151 0.0000
S 5.0087 9.6435 0.0000
S 5.2157 4.0006 0.0000
S 5.5003 6.6956 1.8632
S 6.3048 14.2580 1.8632
S 6.8674 1.5513 1.8632
S 7.6719 9.1138 1.8632
S 7.9565 11.8087 0.0000
S 8.1635 6.1658 0.0000
S 8.9803 15.4943 0.0000
S 9.0765 3.3215 0.0000
S 10.6818 11.2262 1.8632
S 10.7780 7.5896 1.8632
S 11.5948 14.0705 1.8632
S 11.8018 3.9040 1.8632
S 12.0864 1.2091 0.0000
S 12.8908 9.4560 0.0000
```


# NpCuAuO6
Theoretical XRD peak list, Cu Kα, 1.54184 Å. Input: a structure optimized by DFT (GGA-PBE).
Neutral-atom scattering factors, no anomalous dispersion.

Peak list (6 most intense, 5° ≤ 2θ ≤ 70°, most intense first)
2θ 27.32, d 3.264, I = 100
2θ 33.81, d 2.651, I = 48
2θ 52.40, d 1.746, I = 41
2θ 44.00, d 2.058, I = 28
2θ 21.59, d 4.116, I = 28
2θ 56.62, d 1.626, I = 27

```
18
Lattice="5.3023 0.0000 0.0000 -2.6511 4.5919 0.0000 0.0000 0.0000 9.2810" Properties=species:S:1:pos:R:3 pbc="T T T"
Np 0.0000 3.0613 2.3203
Np 2.6511 1.5306 6.9608
Cu 0.0000 3.0613 6.9608
Cu 2.6511 1.5306 2.3203
Au 0.0000 0.0000 0.0000
Au 0.0000 0.0000 4.6405
O -0.9078 1.5766 1.2476
O 4.3908 1.5745 5.8881
O -1.7396 3.0174 3.3929
O 3.5589 3.0153 8.0334
O -0.8318 4.5898 1.2476
O 1.8193 0.0021 5.8881
O 0.9078 1.5766 3.3929
O 0.9115 1.5745 8.0334
O 0.8318 4.5898 3.3929
O 3.4830 0.0021 8.0334
O 1.7396 3.0174 1.2476
O 1.7433 3.0153 5.8881
```


# Nb3Sb3O13
Theoretical XRD peak list, Cu Kα, 1.54184 Å. Input: a structure optimized by DFT (GGA-PBE).
Neutral-atom scattering factors, no anomalous dispersion.

Peak list (6 most intense, 5° ≤ 2θ ≤ 70°, most intense first)
2θ 28.95, d 3.084, I = 100
2θ 14.36, d 6.167, I = 99
2θ 28.78, d 3.102, I = 88
2θ 33.61, d 2.666, I = 33
2θ 47.99, d 1.896, I = 32
2θ 27.65, d 3.227, I = 30

```
19
Lattice="6.5912 -3.7545 0.0000 6.5912 3.7545 0.0000 -4.3337 0.0000 6.2121" Properties=species:S:1:pos:R:3 pbc="T T T"
Nb 0.0000 0.0000 0.0000
Nb 0.9955 1.8633 3.2814
Nb 0.9955 -1.8633 3.2814
Sb -2.1679 0.0000 3.1616
Sb 9.5409 1.7694 0.5485
Sb 9.5409 -1.7694 0.5485
O 3.0883 2.3500 2.5841
O -2.6621 0.0000 5.0689
O 1.4847 2.3722 5.0928
O 1.5843 0.0000 3.4784
O 5.7528 2.3174 3.5102
O 7.6654 2.3312 1.1526
O 4.6008 0.0000 6.1647
O 3.0883 -2.3500 2.5841
O 1.4847 -2.3722 5.0928
O 7.2739 0.0000 2.8638
O 5.7528 -2.3174 3.5102
O 11.6361 0.0000 1.2328
O 7.6654 -2.3312 1.1526
```


# InGaSe2
Theoretical XRD peak list, Cu Kα, 1.54184 Å. Input: a structure optimized by DFT (GGA-PBE).
Neutral-atom scattering factors, no anomalous dispersion.

Peak list (6 most intense, 5° ≤ 2θ ≤ 70°, most intense first)
2θ 35.63, d 2.520, I = 100
2θ 28.16, d 3.169, I = 80
2θ 31.03, d 2.882, I = 52
2θ 53.26, d 1.720, I = 36
2θ 21.81, d 4.076, I = 36
2θ 50.04, d 1.823, I = 29

```
8
Lattice="-4.0757 4.0757 3.2057 4.0757 -4.0757 3.2057 4.0757 4.0757 -3.2057" Properties=species:S:1:pos:R:3 pbc="T T T"
In 0.0000 0.0000 1.6029
In 0.0000 0.0000 4.8086
Ga 4.0757 0.0000 1.6029
Ga 0.0000 4.0757 1.6029
Se 5.3986 1.3228 0.0000
Se 1.3228 2.7529 0.0000
Se 2.7529 1.3228 3.2057
Se -1.3228 2.7529 3.2057
```


# CsMg14V
Theoretical XRD peak list, Cu Kα, 1.54184 Å. Input: a structure optimized by DFT (GGA-PBE).
Neutral-atom scattering factors, no anomalous dispersion.

Peak list (6 most intense, 5° ≤ 2θ ≤ 70°, most intense first)
2θ 35.84, d 2.506, I = 100
2θ 15.64, d 5.665, I = 29
2θ 31.59, d 2.833, I = 28
2θ 22.81, d 3.898, I = 26
2θ 33.36, d 2.686, I = 24
2θ 46.60, d 1.949, I = 18

```
16
Lattice="6.5416 0.0000 0.0000 -3.2708 5.6652 0.0000 0.0000 0.0000 10.7435" Properties=species:S:1:pos:R:3 pbc="T T T"
Cs 0.0000 0.0000 0.0000
Mg -1.5898 2.8589 0.0000
Mg 0.0000 1.9111 2.9663
Mg 0.0000 1.9111 7.7772
Mg -1.6157 4.7096 2.9663
Mg -1.6157 4.7096 7.7772
Mg 1.5898 2.8589 0.0000
Mg 0.0000 5.6125 0.0000
Mg 3.2708 0.0457 5.3717
Mg 1.6749 2.8098 5.3717
Mg 1.6157 4.7096 2.9663
Mg 1.6157 4.7096 7.7772
Mg 3.2708 1.8884 2.5775
Mg 3.2708 1.8884 8.1660
Mg 4.8666 2.8098 5.3717
V 0.0000 0.0000 5.3717
```


# Li4U3Te8Au
Theoretical XRD peak list, Cu Kα, 1.54184 Å. Input: a structure optimized by DFT (GGA-PBE).
Neutral-atom scattering factors, no anomalous dispersion.

Peak list (6 most intense, 5° ≤ 2θ ≤ 70°, most intense first)
2θ 29.51, d 3.027, I = 100
2θ 12.48, d 7.091, I = 65
2θ 29.14, d 3.064, I = 51
2θ 42.04, d 2.149, I = 38
2θ 41.86, d 2.158, I = 38
2θ 24.52, d 3.631, I = 32

```
16
Lattice="7.4839 -4.2350 0.0000 7.4839 4.2350 0.0000 -4.9694 0.0000 7.0908" Properties=species:S:1:pos:R:3 pbc="T T T"
Li 0.0000 0.0000 0.0000
Li 3.7420 2.1175 0.0000
Li 3.7420 -2.1175 0.0000
Li 7.4839 0.0000 0.0000
U -2.4847 0.0000 3.5454
U 1.2573 2.1175 3.5454
U 1.2573 -2.1175 3.5454
Te 2.4243 0.0000 1.6698
Te -0.0058 0.0000 5.4100
Te 6.2226 2.0492 1.7664
Te 3.7758 2.0492 5.3244
Te 6.2226 -2.0492 1.7664
Te 3.7758 -2.0492 5.3244
Te 10.0042 0.0000 1.6807
Te 7.5742 0.0000 5.4210
Au 4.9992 0.0000 3.5454
```


# Sm2PuTl3
Theoretical XRD peak list, Cu Kα, 1.54184 Å. Input: a structure optimized by DFT (GGA-PBE).
Neutral-atom scattering factors, no anomalous dispersion.

Peak list (6 most intense, 5° ≤ 2θ ≤ 70°, most intense first)
2θ 32.18, d 2.781, I = 100
2θ 36.30, d 2.475, I = 36
2θ 62.72, d 1.481, I = 30
2θ 54.59, d 1.681, I = 23
2θ 39.33, d 2.291, I = 15
2θ 52.27, d 1.750, I = 13

```
6
Lattice="3.5002 0.0000 0.0000 0.0000 3.5002 0.0000 0.0000 0.0000 13.7450" Properties=species:S:1:pos:R:3 pbc="T T T"
Sm 0.0000 0.0000 2.2717
Sm 0.0000 0.0000 11.4733
Pu 0.0000 0.0000 6.8725
Tl 1.7501 1.7501 0.0000
Tl 1.7501 1.7501 4.5726
Tl 1.7501 1.7501 9.1724
```